1.
Simulated X-ray powder pattern
Compound: Os3N4
Radiation: copper Kα
Structure: the GGA-PBE geometry in OQMD

Most intense lines, 2θ = 5–70°, in order of rising 2θ:
- 21.17°, rel. 42
- 30.11°, rel. 35
- 37.10°, rel. 100
- 43.11°, rel. 72
- 48.50°, rel. 19
- 53.48°, rel. 14
- 62.60°, rel. 47
- 66.88°, rel. 9

Crystal structure
Unit cell a=4.1969 b=4.1969 c=4.1969 alpha=90.00 beta=90.00 gamma=90.00
Sites, in units of the cell vectors:
Os (0.0000, 0.0000, 0.5000)
Os (0.0000, 0.5000, 0.0000)
Os (0.5000, 0.0000, 0.0000)
N (0.0000, 0.0000, 0.0000)
N (0.0000, 0.5000, 0.5000)
N (0.5000, 0.0000, 0.5000)
N (0.5000, 0.5000, 0.0000)

=====

2.
Simulated X-ray powder pattern
Compound: Si4OsN4
Radiation: copper Kα
Structure: the GGA-PBE geometry in OQMD

Most intense lines, 2θ = 5–70°, in order of rising 2θ:
- 18.00°, rel. 88
- 19.35°, rel. 100
- 23.99°, rel. 44
- 24.12°, rel. 45
- 25.35°, rel. 59
- 26.22°, rel. 62
- 27.27°, rel. 49
- 35.52°, rel. 78
- 35.66°, rel. 76
- 35.86°, rel. 75

Crystal structure
Unit cell a=4.2405 b=4.8802 c=5.3201 alpha=85.48 beta=68.11 gamma=70.25
Sites, in units of the cell vectors:
Si (0.0000, 0.0000, 0.0000)
Si (0.1858, 0.2244, 0.4211)
Si (0.3908, 0.4237, 0.8063)
Si (0.5854, 0.6281, 0.2232)
Os (0.7619, 0.6674, 0.5648)
N (0.1592, 0.9201, 0.2687)
N (0.3148, 0.1073, 0.7189)
N (0.5609, 0.2873, 0.1143)
N (0.9345, 0.6880, 0.9227)

=====

3.
Simulated X-ray powder pattern
Compound: Pr2P3N7
Radiation: copper Kα
Structure: the GGA-PBE geometry in OQMD

Most intense lines, 2θ = 5–70°, in order of rising 2θ:
- 17.30°, rel. 18
- 24.47°, rel. 21
- 24.58°, rel. 22
- 27.74°, rel. 19
- 29.60°, rel. 34
- 30.17°, rel. 100
- 32.88°, rel. 37
- 33.20°, rel. 19
- 41.05°, rel. 15
- 57.24°, rel. 18

Crystal structure
Unit cell a=6.4431 b=6.4431 c=7.7745 alpha=102.70 beta=102.70 gamma=105.41
Sites, in units of the cell vectors:
Pr (0.1840, 0.2686, 0.4790)
Pr (0.2686, 0.1840, 0.9790)
Pr (0.7314, 0.8160, 0.0210)
Pr (0.8160, 0.7314, 0.5210)
P (0.1606, 0.6119, 0.8657)
P (0.2570, 0.7430, 0.2500)
P (0.3881, 0.8394, 0.6343)
P (0.6119, 0.1606, 0.3657)
P (0.7430, 0.2570, 0.7500)
P (0.8394, 0.3881, 0.1343)
N (0.0138, 0.7737, 0.8644)
N (0.0158, 0.3367, 0.7700)
N (0.2263, 0.9862, 0.6356)
N (0.3231, 0.6218, 0.0701)
N (0.3367, 0.0158, 0.2700)
N (0.3495, 0.6505, 0.7500)
N (0.3782, 0.6769, 0.4299)
N (0.6218, 0.3231, 0.5701)
N (0.6505, 0.3495, 0.2500)
N (0.6633, 0.9842, 0.7300)
N (0.6769, 0.3782, 0.9299)
N (0.7737, 0.0138, 0.3644)
N (0.9842, 0.6633, 0.2300)
N (0.9862, 0.2263, 0.1356)

=====

4.
Simulated X-ray powder pattern
Compound: Ta4PSN2
Radiation: copper Kα
Structure: the GGA-PBE geometry in OQMD

Most intense lines, 2θ = 5–70°, in order of rising 2θ:
- 14.39°, rel. 8
- 29.01°, rel. 31
- 33.06°, rel. 29
- 33.87°, rel. 45
- 39.86°, rel. 100
- 44.14°, rel. 8
- 44.55°, rel. 19
- 59.04°, rel. 27
- 63.01°, rel. 23
- 67.11°, rel. 19

Crystal structure
Unit cell a=3.1291 b=3.1291 c=12.3114 alpha=90.00 beta=90.00 gamma=120.00
Sites, in units of the cell vectors:
Ta (0.0000, 0.0000, 0.1416)
Ta (0.0000, 0.0000, 0.8584)
Ta (0.3333, 0.6667, 0.3557)
Ta (0.3333, 0.6667, 0.6443)
P (0.3333, 0.6667, 0.0000)
S (0.0000, 0.0000, 0.5000)
N (0.6667, 0.3333, 0.2500)
N (0.6667, 0.3333, 0.7500)

=====

5.
Simulated X-ray powder pattern
Compound: Zn4P6SeN12
Radiation: copper Kα
Structure: the GGA-PBE geometry in OQMD

Most intense lines, 2θ = 5–70°, in order of rising 2θ:
- 26.49°, rel. 100
- 30.68°, rel. 5
- 34.41°, rel. 10
- 40.97°, rel. 40
- 46.76°, rel. 41
- 49.45°, rel. 12
- 54.54°, rel. 8
- 61.63°, rel. 9
- 63.89°, rel. 10
- 68.28°, rel. 12

Crystal structure
Unit cell a=7.1380 b=7.1380 c=7.1380 alpha=109.47 beta=109.47 gamma=109.47
Sites, in units of the cell vectors:
Zn (0.0000, 0.0000, 0.3414)
Zn (0.0000, 0.3414, 0.0000)
Zn (0.3414, 0.0000, 0.0000)
Zn (0.6586, 0.6586, 0.6586)
P (0.2500, 0.5000, 0.7500)
P (0.2500, 0.7500, 0.5000)
P (0.5000, 0.2500, 0.7500)
P (0.5000, 0.7500, 0.2500)
P (0.7500, 0.2500, 0.5000)
P (0.7500, 0.5000, 0.2500)
Se (0.0000, 0.0000, 0.0000)
N (0.0000, 0.2714, 0.5532)
N (0.0000, 0.5532, 0.2714)
N (0.2714, 0.0000, 0.5532)
N (0.2714, 0.5532, 0.0000)
N (0.2818, 0.7286, 0.7286)
N (0.4468, 0.4468, 0.7182)
N (0.4468, 0.7182, 0.4468)
N (0.5532, 0.0000, 0.2714)
N (0.5532, 0.2714, 0.0000)
N (0.7182, 0.4468, 0.4468)
N (0.7286, 0.2818, 0.7286)
N (0.7286, 0.7286, 0.2818)

=====

6.
Simulated X-ray powder pattern
Compound: ZnSiPN
Radiation: copper Kα
Structure: the GGA-PBE geometry in OQMD

Most intense lines, 2θ = 5–70°, in order of rising 2θ:
- 20.67°, rel. 20
- 31.16°, rel. 45
- 31.91°, rel. 100
- 33.03°, rel. 55
- 33.48°, rel. 28
- 36.27°, rel. 16
- 41.56°, rel. 44
- 51.96°, rel. 14
- 52.91°, rel. 35
- 55.36°, rel. 29

Crystal structure
Unit cell a=4.9580 b=4.9580 c=5.6495 alpha=113.65 beta=113.65 gamma=90.45
Sites, in units of the cell vectors:
Zn (0.1530, 0.8470, 0.5000)
Zn (0.8470, 0.1530, 0.0000)
Si (0.3453, 0.5388, 0.0031)
Si (0.5388, 0.3453, 0.5031)
P (0.6932, 0.9635, 0.2522)
P (0.9635, 0.6932, 0.7522)
N (0.2703, 0.4566, 0.2527)
N (0.4566, 0.2703, 0.7527)

=====

7.
Simulated X-ray powder pattern
Compound: ZnSnPN
Radiation: copper Kα
Structure: the GGA-PBE geometry in OQMD

Most intense lines, 2θ = 5–70°, in order of rising 2θ:
- 18.94°, rel. 11
- 29.60°, rel. 100
- 31.01°, rel. 8
- 34.14°, rel. 16
- 34.66°, rel. 10
- 39.33°, rel. 18
- 49.05°, rel. 13
- 49.44°, rel. 31
- 58.34°, rel. 19
- 59.04°, rel. 14

Crystal structure
Unit cell a=5.2533 b=5.2533 c=6.3672 alpha=114.31 beta=114.31 gamma=90.05
Sites, in units of the cell vectors:
Zn (0.1567, 0.8433, 0.5000)
Zn (0.8433, 0.1567, 0.0000)
Sn (0.3430, 0.5477, 0.9990)
Sn (0.5477, 0.3430, 0.4990)
P (0.7453, 0.9719, 0.2491)
P (0.9719, 0.7453, 0.7491)
N (0.2190, 0.4703, 0.2501)
N (0.4703, 0.2190, 0.7501)

=====

8.
Simulated X-ray powder pattern
Compound: Ta4PN3
Radiation: copper Kα
Structure: the GGA-PBE geometry in OQMD

Most intense lines, 2θ = 5–70°, in order of rising 2θ:
- 32.01°, rel. 41
- 34.02°, rel. 75
- 35.21°, rel. 34
- 36.83°, rel. 15
- 38.83°, rel. 63
- 41.16°, rel. 100
- 43.78°, rel. 16
- 58.99°, rel. 49
- 60.24°, rel. 28
- 68.71°, rel. 29

Crystal structure
Unit cell a=3.1315 b=3.1315 c=22.3710 alpha=90.00 beta=90.00 gamma=120.00
Sites, in units of the cell vectors:
Ta (0.0000, 0.0000, 0.1724)
Ta (0.0000, 0.0000, 0.3276)
Ta (0.0000, 0.0000, 0.6724)
Ta (0.0000, 0.0000, 0.8276)
Ta (0.3333, 0.6667, 0.0545)
Ta (0.3333, 0.6667, 0.4455)
Ta (0.6667, 0.3333, 0.5545)
Ta (0.6667, 0.3333, 0.9455)
P (0.3333, 0.6667, 0.2500)
P (0.6667, 0.3333, 0.7500)
N (0.0000, 0.0000, 0.0000)
N (0.0000, 0.0000, 0.5000)
N (0.3333, 0.6667, 0.6123)
N (0.3333, 0.6667, 0.8877)
N (0.6667, 0.3333, 0.1123)
N (0.6667, 0.3333, 0.3877)